(1)
Li10Se4S: computed X-ray powder pattern (Cu Kα), based on a DFT-relaxed cell (PBE, Alexandria).
Neutral-atom scattering factors, no anomalous dispersion.

Crystal structure
```
15
Lattice="2.1088 1.2175 17.2139 -2.1088 1.2175 17.2139 0.0000 -2.4351 17.2139" Properties=species:S:1:pos:R:3 pbc="T T T"
Li 0.0000 0.0000 2.4679
Li 0.0000 0.0000 7.7449
Li 0.0000 0.0000 12.9696
Li 0.0000 0.0000 17.9894
Li 0.0000 0.0000 23.1950
Li 0.0000 0.0000 28.4467
Li 0.0000 0.0000 33.6523
Li 0.0000 0.0000 38.6721
Li 0.0000 0.0000 43.8967
Li 0.0000 0.0000 49.1738
Se 0.0000 0.0000 10.3527
Se 0.0000 0.0000 20.5852
Se 0.0000 0.0000 31.0564
Se 0.0000 0.0000 41.2889
S 0.0000 0.0000 0.0000
```

The 12 most intense peaks (2θ from 15° to 90°), in order of rising 2θ:
2θ/deg  I (rel.)
24.62  2
25.87  100
27.24  2
29.96  37
42.89  48
50.77  44
53.20  9
62.27  8
68.59  18
70.63  12
78.58  16
84.39  14



(2)
Li2SeS: computed X-ray powder pattern (Cu Kα), based on a DFT-relaxed cell (PBE, Alexandria).
Neutral-atom scattering factors, no anomalous dispersion.

Crystal structure
```
8
Lattice="-3.5537 3.5537 2.6567 3.5537 -3.5537 2.6567 3.5537 3.5537 -2.6567" Properties=species:S:1:pos:R:3 pbc="T T T"
Li 5.3306 1.5421 -0.6642
Li 1.5421 1.7769 0.6642
Li -1.7769 2.0116 1.9925
Li 2.0116 1.7769 3.3209
Se 3.5537 0.0000 1.3284
Se 0.0000 0.0000 2.6567
S 0.0000 0.0000 0.0000
S 0.0000 3.5537 1.3284
```

The 12 most intense peaks (2θ from 15° to 90°), in order of rising 2θ:
2θ/deg  I (rel.)
20.87  26
25.06  100
32.83  21
35.73  53
38.32  75
51.43  18
53.39  57
58.04  18
65.91  15
76.57  11
77.30  20
88.18  15



(3)
LiSn2SeS3: computed X-ray powder pattern (Cu Kα), based on a DFT-relaxed cell (PBE, Alexandria).
Neutral-atom scattering factors, no anomalous dispersion.

Crystal structure
```
14
Lattice="3.8711 2.2350 6.3966 -3.8711 2.2350 6.3966 0.0000 -4.4700 6.3966" Properties=species:S:1:pos:R:3 pbc="T T T"
Li 0.0000 0.0000 2.0981
Li 0.0000 0.0000 17.0918
Sn -1.9356 -1.1175 6.3966
Sn -1.9356 1.1175 12.7932
Sn 0.0000 2.2350 6.3966
Sn 0.0000 0.0000 9.5949
Se 0.0000 0.0000 4.7644
Se 0.0000 0.0000 14.4255
S 0.0000 -2.1338 7.8630
S -1.8479 1.0669 7.8630
S -1.8479 -1.0669 11.3269
S 1.8479 1.0669 7.8630
S 1.8479 -1.0669 11.3269
S 0.0000 2.1338 11.3269
```

The 12 most intense peaks (2θ from 15° to 90°), in order of rising 2θ:
2θ/deg  I (rel.)
26.76  11
26.94  46
32.58  100
35.74  10
46.55  37
46.94  37
49.20  12
58.31  18
68.26  12
77.41  16
77.99  16
86.95  13



(4)
LiU2Se2S2: computed X-ray powder pattern (Cu Kα), based on a DFT-relaxed cell (PBE, Alexandria).
Neutral-atom scattering factors, no anomalous dispersion.

Crystal structure
```
7
Lattice="6.7935 -1.8671 0.0000 6.7935 1.8671 0.0000 -3.2375 0.0000 6.5664" Properties=species:S:1:pos:R:3 pbc="T T T"
Li 0.0000 0.0000 0.0000
U -0.0079 0.0000 3.7153
U 10.3575 0.0000 2.8511
Se 5.6032 0.0000 1.6674
Se 4.7463 0.0000 4.8990
S 1.9287 0.0000 1.7961
S 8.4209 0.0000 4.7704
```

The 12 most intense peaks (2θ from 15° to 90°), in order of rising 2θ:
2θ/deg  I (rel.)
26.83  51
29.94  72
31.29  29
32.57  100
34.64  93
36.37  25
37.64  30
39.13  36
41.17  43
42.63  25
45.73  32
50.82  33



(5)
Li3SiS4: computed X-ray powder pattern (Cu Kα), based on a DFT-relaxed cell (PBE, Alexandria).
Neutral-atom scattering factors, no anomalous dispersion.

Crystal structure
```
16
Lattice="8.0092 0.0000 0.0000 0.0000 6.9194 0.0000 0.0000 0.0000 5.8529" Properties=species:S:1:pos:R:3 pbc="T T T"
Li 0.0000 1.0541 0.0000
Li 1.8883 2.2497 2.9002
Li 2.1163 4.6696 5.8267
Li 4.0046 5.8653 2.9264
Li 5.8929 4.6696 5.8267
Li 6.1209 2.2497 2.9002
Si 0.0000 5.6858 2.6843
Si 4.0046 1.2335 5.6107
S 0.0000 0.7931 3.3377
S 0.0000 5.6218 0.5635
S 1.7747 4.6680 3.3081
S 2.2299 2.2514 0.3816
S 4.0046 1.2975 3.4899
S 4.0046 6.1262 0.4112
S 5.7793 2.2514 0.3816
S 6.2345 4.6680 3.3081
```

The 12 most intense peaks (2θ from 15° to 90°), in order of rising 2θ:
2θ/deg  I (rel.)
16.93  37
18.78  25
19.87  14
25.72  84
29.98  100
30.55  52
40.35  31
45.35  51
53.94  36
55.67  36
73.05  11
88.09  12



(6)
LiSi2S4: computed X-ray powder pattern (Cu Kα), based on a DFT-relaxed cell (PBE, Alexandria).
Neutral-atom scattering factors, no anomalous dispersion.

Crystal structure
```
7
Lattice="-3.6516 3.6516 2.9123 3.6516 -3.6516 2.9123 3.6516 3.6516 -2.9123" Properties=species:S:1:pos:R:3 pbc="T T T"
Li 0.0000 0.0000 0.0000
Si 3.6516 0.0000 1.4562
Si 0.0000 3.6516 1.4562
S 2.3926 1.0983 0.0000
S 2.5532 -1.2589 2.9123
S 1.0983 4.9105 0.0000
S 1.2589 2.5532 2.9123
```

The 12 most intense peaks (2θ from 15° to 90°), in order of rising 2θ:
2θ/deg  I (rel.)
17.17  99
30.70  9
31.40  100
34.74  14
39.58  30
50.43  41
53.21  15
54.12  13
55.02  17
56.34  9
59.78  11
87.80  13



(7)
LiSm4S6: computed X-ray powder pattern (Cu Kα), based on a DFT-relaxed cell (PBE, Alexandria).
Neutral-atom scattering factors, no anomalous dispersion.

Crystal structure
```
22
Lattice="5.5285 3.1919 4.4137 -5.5285 3.1919 4.4137 0.0000 -6.3838 4.4137" Properties=species:S:1:pos:R:3 pbc="T T T"
Li 0.0000 0.0000 0.0000
Li 0.0000 0.0000 6.6205
Sm -3.4019 0.4915 5.5171
Sm 0.0000 0.0000 3.3102
Sm -2.1266 -2.7004 7.7239
Sm 1.2753 -3.1919 5.5171
Sm -1.2753 3.1919 7.7239
Sm 2.1266 2.7004 5.5171
Sm 0.0000 0.0000 9.9307
Sm 3.4019 -0.4915 7.7239
S -4.7333 -1.2765 7.3497
S -1.2611 -4.7374 5.8913
S -1.2611 -1.6464 5.1429
S -3.4721 3.4609 5.8913
S -0.7952 1.9154 5.1429
S -2.0564 0.2690 8.0981
S 2.0564 -0.2690 5.1429
S 0.7952 -1.9154 8.0981
S 3.4721 -3.4609 7.3497
S 1.2611 1.6464 8.0981
S 1.2611 4.7374 7.3497
S 4.7333 1.2765 5.8913
```

The 12 most intense peaks (2θ from 15° to 90°), in order of rising 2θ:
2θ/deg  I (rel.)
22.92  72
25.83  100
27.95  85
28.10  34
32.89  42
34.44  70
38.42  65
40.89  29
43.39  49
49.53  36
49.82  36
50.26  39



(8)
LiSm6S5: computed X-ray powder pattern (Cu Kα), based on a DFT-relaxed cell (PBE, Alexandria).
Neutral-atom scattering factors, no anomalous dispersion.

Crystal structure
```
24
Lattice="6.7859 0.0000 0.0000 -3.3930 5.8768 0.0000 0.0000 0.0000 14.0479" Properties=species:S:1:pos:R:3 pbc="T T T"
Li 0.0000 0.0000 3.5120
Li 0.0000 0.0000 10.5360
Sm -1.1568 2.0036 1.6181
Sm -1.1568 2.0036 5.4059
Sm -2.2362 3.8732 8.6421
Sm -2.2362 3.8732 12.4298
Sm 2.3135 0.0000 1.6181
Sm 2.3135 0.0000 5.4059
Sm 1.1568 2.0036 8.6421
Sm 1.1568 2.0036 12.4298
Sm 4.4724 0.0000 8.6421
Sm 4.4724 0.0000 12.4298
Sm 2.2362 3.8732 1.6181
Sm 2.2362 3.8732 5.4059
S -1.1420 1.9781 10.5360
S -2.2509 3.8987 3.5120
S 0.0000 3.9179 0.0000
S 0.0000 3.9179 7.0240
S 2.2841 0.0000 10.5360
S 1.1420 1.9781 3.5120
S 4.5019 0.0000 3.5120
S 2.2509 3.8987 10.5360
S 3.3930 1.9589 0.0000
S 3.3930 1.9589 7.0240
```

The 12 most intense peaks (2θ from 15° to 90°), in order of rising 2θ:
2θ/deg  I (rel.)
25.36  29
26.27  30
27.04  55
32.59  100
36.83  28
41.74  19
46.35  39
53.01  20
53.57  23
57.81  19
72.26  17
77.11  16



(9)
LiSm4S4: computed X-ray powder pattern (Cu Kα), based on a DFT-relaxed cell (PBE, Alexandria).
Neutral-atom scattering factors, no anomalous dispersion.

Crystal structure
```
9
Lattice="6.2181 -2.7961 0.0000 6.2181 2.7961 0.0000 -6.2052 0.0000 6.2180" Properties=species:S:1:pos:R:3 pbc="T T T"
Li 0.0000 0.0000 0.0000
Sm -2.4811 0.0000 4.9703
Sm 1.2526 0.0000 3.7336
Sm 4.9783 0.0000 2.4844
Sm 8.7120 0.0000 1.2477
S -1.2107 0.0000 2.3893
S 2.3956 0.0000 1.2203
S 3.8353 0.0000 4.9976
S 7.4416 0.0000 3.8286
```

The 12 most intense peaks (2θ from 15° to 90°), in order of rising 2θ:
2θ/deg  I (rel.)
20.20  15
27.73  100
32.01  40
32.19  85
46.03  61
46.17  30
54.47  16
54.69  24
57.28  31
76.22  14
76.60  13
85.42  15



(10)
LiSm4S7: computed X-ray powder pattern (Cu Kα), based on a DFT-relaxed cell (PBE, Alexandria).
Neutral-atom scattering factors, no anomalous dispersion.

Crystal structure
```
12
Lattice="6.4826 -1.9614 0.0000 6.4826 1.9614 0.0000 -3.1057 0.0000 11.0526" Properties=species:S:1:pos:R:3 pbc="T T T"
Li 0.0000 0.0000 0.0000
Sm 0.3763 0.0000 4.6145
Sm 0.2924 0.0000 9.5738
Sm 3.6357 0.0000 7.1194
Sm 9.9163 0.0000 2.5066
S -0.9069 0.0000 7.0642
S 1.4755 0.0000 2.1639
S 4.7627 0.0000 0.8959
S 4.8862 0.0000 4.1725
S 4.8998 0.0000 9.9856
S 8.7203 0.0000 5.3285
S 8.6288 0.0000 8.6691
```

The 12 most intense peaks (2θ from 15° to 90°), in order of rising 2θ:
2θ/deg  I (rel.)
24.22  76
24.50  100
27.52  30
27.68  39
30.87  26
31.34  69
32.53  44
33.86  45
42.22  43
44.41  27
46.29  30
47.06  39



(11)
Li2Sn2S3: computed X-ray powder pattern (Cu Kα), based on a DFT-relaxed cell (PBE, Alexandria).
Neutral-atom scattering factors, no anomalous dispersion.

Crystal structure
```
14
Lattice="6.4168 0.0000 0.0000 0.0000 7.9690 0.0000 -3.5197 0.0000 6.1102" Properties=species:S:1:pos:R:3 pbc="T T T"
Li -0.7216 0.9453 2.5833
Li -2.4815 3.0392 5.6384
Li 5.3785 4.9298 0.4718
Li 3.6187 7.0237 3.5269
Sn 0.2376 5.2583 3.7499
Sn 1.9974 6.6953 0.6948
Sn 0.8996 1.2737 5.4154
Sn 2.6595 2.7108 2.3603
S -1.6472 0.7542 4.9910
S 0.1126 3.2303 1.9359
S 1.4485 0.0000 3.0551
S 3.2084 3.9845 0.0000
S 2.7845 4.7387 4.1743
S 4.5443 7.2149 1.1192
```

The 12 most intense peaks (2θ from 15° to 90°), in order of rising 2θ:
2θ/deg  I (rel.)
15.94  100
18.30  31
19.47  45
26.71  79
27.16  65
27.71  53
30.06  43
30.84  33
31.36  75
34.16  60
36.90  40
43.42  41



(12)
Li2Sn2S5: computed X-ray powder pattern (Cu Kα), based on a DFT-relaxed cell (PBE, Alexandria).
Neutral-atom scattering factors, no anomalous dispersion.

Crystal structure
```
9
Lattice="9.7426 -1.8072 0.0000 9.7426 1.8072 0.0000 -1.4231 0.0000 6.5241" Properties=species:S:1:pos:R:3 pbc="T T T"
Li 3.2020 0.0000 2.0478
Li 14.8602 0.0000 4.4764
Sn 7.6330 0.0000 1.7824
Sn 10.4291 0.0000 4.7417
S -0.7116 0.0000 3.2621
S 0.5744 0.0000 6.4370
S 5.5143 0.0000 2.9096
S 12.5478 0.0000 3.6146
S 17.4878 0.0000 0.0872
```

The 12 most intense peaks (2θ from 15° to 90°), in order of rising 2θ:
2θ/deg  I (rel.)
18.05  100
18.64  46
20.62  73
25.08  28
28.13  78
32.93  84
37.36  24
38.20  59
40.88  37
41.53  38
48.33  28
50.49  25